1.
Structure and theoretical powder XRD pattern of RbCuCl3 (a crystal structure in the Materials Project, relaxed with PBE; CuKα).
No peak broadening, texture or thermal motion is included.

Principal peaks in the range 2θ from 10° to 80°, in order of falling intensity:
2.737 Å, 2θ 32.7, intensity 100; 6.081 Å, 2θ 14.6, intensity 82; 3.518 Å, 2θ 25.3, intensity 81; 2.783 Å, 2θ 32.2, intensity 71; 2.727 Å, 2θ 32.8, intensity 71; 2.177 Å, 2θ 41.5, intensity 48

Atomic structure:
```
RbCuCl3
1.0
6.1070 -3.4965 0.0000
6.1070 3.4965 0.0000
-0.1359 0.0000 12.5647
Rb Cu Cl
4 4 12
Direct
0.1483 0.1848 0.3748
0.1848 0.1483 0.8748
0.8152 0.8517 0.1252
0.8517 0.8152 0.6252
0.4550 0.5450 0.2500
0.5000 0.5000 0.0000
0.5000 0.5000 0.5000
0.5450 0.4550 0.7500
0.1386 0.6881 0.3496
0.2349 0.6230 0.8623
0.3119 0.8614 0.1504
0.3214 0.3531 0.0889
0.3531 0.3214 0.5889
0.3770 0.7651 0.6377
0.6230 0.2349 0.3623
0.6469 0.6786 0.4111
0.6786 0.6469 0.9111
0.6881 0.1386 0.8496
0.7651 0.3770 0.1377
0.8614 0.3119 0.6504
```


2.
Structure and theoretical powder XRD pattern of RbCuCl3 (a crystal structure in the Materials Project, relaxed with PBE; CuKα).
No peak broadening, texture or thermal motion is included.

Principal peaks in the range 2θ from 10° to 80°, in order of falling intensity:
3.509 Å, 2θ 25.4, intensity 100; 2.593 Å, 2θ 34.6, intensity 93; 3.667 Å, 2θ 24.3, intensity 59; 2.906 Å, 2θ 30.8, intensity 58; 1.755 Å, 2θ 52.1, intensity 52; 2.383 Å, 2θ 37.7, intensity 40

Atomic structure:
```
RbCuCl3
1.0
-3.6671 3.6671 4.7666
3.6671 -3.6671 4.7666
3.6671 3.6671 -4.7666
Rb Cu Cl
2 2 6
Direct
0.2500 0.2500 0.0000
0.7500 0.7500 0.0000
0.0000 0.5000 0.5000
0.5000 0.0000 0.5000
0.2150 0.7150 0.9301
0.2500 0.7500 0.5000
0.2850 0.2150 0.5000
0.7150 0.7850 0.5000
0.7500 0.2500 0.5000
0.7850 0.2850 0.0699
```


3.
Structure and theoretical powder XRD pattern of Rb2CuSbCl6 (a crystal structure in the Materials Project, relaxed with PBE; CuKα).
No peak broadening, texture or thermal motion is included.

Principal peaks in the range 2θ from 10° to 80°, in order of falling intensity:
3.682 Å, 2θ 24.2, intensity 100; 2.604 Å, 2θ 34.4, intensity 79; 1.841 Å, 2θ 49.5, intensity 52; 2.126 Å, 2θ 42.5, intensity 45; 1.392 Å, 2θ 67.3, intensity 23; 1.647 Å, 2θ 55.8, intensity 21

Atomic structure:
```
Rb2CuSbCl6
1.0
0.0000 5.2070 5.2070
5.2070 0.0000 5.2070
5.2070 5.2070 0.0000
Rb Cu Sb Cl
2 1 1 6
Direct
0.2500 0.2500 0.2500
0.7500 0.7500 0.7500
0.0000 0.0000 0.0000
0.5000 0.5000 0.5000
0.2424 0.2424 0.7576
0.2424 0.7576 0.2424
0.2424 0.7576 0.7576
0.7576 0.2424 0.2424
0.7576 0.2424 0.7576
0.7576 0.7576 0.2424
```


4.
Structure and theoretical powder XRD pattern of Rb2ScCuCl6 (a crystal structure in the Materials Project, relaxed with PBE; CuKα).
No peak broadening, texture or thermal motion is included.

Principal peaks in the range 2θ from 10° to 80°, in order of falling intensity:
2.541 Å, 2θ 35.3, intensity 100; 3.593 Å, 2θ 24.8, intensity 93; 1.797 Å, 2θ 50.8, intensity 65; 2.934 Å, 2θ 30.5, intensity 61; 2.075 Å, 2θ 43.6, intensity 41; 1.532 Å, 2θ 60.4, intensity 22

Atomic structure:
```
Rb2ScCuCl6
1.0
0.0000 5.0815 5.0815
5.0815 0.0000 5.0815
5.0815 5.0815 0.0000
Rb Sc Cu Cl
2 1 1 6
Direct
0.2500 0.2500 0.2500
0.7500 0.7500 0.7500
0.0000 0.0000 0.0000
0.5000 0.5000 0.5000
0.2474 0.2474 0.7526
0.2474 0.7526 0.2474
0.2474 0.7526 0.7526
0.7526 0.2474 0.2474
0.7526 0.2474 0.7526
0.7526 0.7526 0.2474
```


5.
Structure and theoretical powder XRD pattern of Rb2TaCuCl6 (a crystal structure in the Materials Project, relaxed with PBE; CuKα).
No peak broadening, texture or thermal motion is included.

Principal peaks in the range 2θ from 10° to 80°, in order of falling intensity:
3.576 Å, 2θ 24.9, intensity 100; 2.529 Å, 2θ 35.5, intensity 67; 2.065 Å, 2θ 43.8, intensity 45; 1.788 Å, 2θ 51.1, intensity 44; 1.352 Å, 2θ 69.5, intensity 23; 5.840 Å, 2θ 15.2, intensity 22

Atomic structure:
```
Rb2TaCuCl6
1.0
0.0000 5.0579 5.0579
5.0579 0.0000 5.0579
5.0579 5.0579 0.0000
Rb Ta Cu Cl
2 1 1 6
Direct
0.2500 0.2500 0.2500
0.7500 0.7500 0.7500
0.0000 0.0000 0.0000
0.5000 0.5000 0.5000
0.2466 0.2466 0.7534
0.2466 0.7534 0.2466
0.2466 0.7534 0.7534
0.7534 0.2466 0.2466
0.7534 0.2466 0.7534
0.7534 0.7534 0.2466
```


6.
Structure and theoretical powder XRD pattern of Rb2TmCuCl6 (a crystal structure in the Materials Project, relaxed with PBE; CuKα).
No peak broadening, texture or thermal motion is included.

Principal peaks in the range 2θ from 10° to 80°, in order of falling intensity:
3.662 Å, 2θ 24.3, intensity 100; 2.590 Å, 2θ 34.6, intensity 69; 1.831 Å, 2θ 49.8, intensity 46; 2.114 Å, 2θ 42.8, intensity 46; 1.384 Å, 2θ 67.7, intensity 24; 1.638 Å, 2θ 56.2, intensity 21

Atomic structure:
```
Rb2TmCuCl6
1.0
0.0000 5.1790 5.1790
5.1790 0.0000 5.1790
5.1790 5.1790 0.0000
Rb Tm Cu Cl
2 1 1 6
Direct
0.2500 0.2500 0.2500
0.7500 0.7500 0.7500
0.0000 0.0000 0.0000
0.5000 0.5000 0.5000
0.2515 0.2515 0.7485
0.2515 0.7485 0.2515
0.2515 0.7485 0.7485
0.7485 0.2515 0.2515
0.7485 0.2515 0.7485
0.7485 0.7485 0.2515
```